Simulated XRD peak list of Na7Cu12S10 for Cu Kα, 1.54184 Å, from DFT lattice parameters and positions (PBE).
Neutral-atom scattering factors, no anomalous dispersion.

Structural model:
```
58
Lattice="16.083 0.000 0.000 0.000 3.798 0.000 -0.280 0.000 16.193" Properties=species:S:1:pos:R:3 pbc="T T T"
Na 0.000 0.000 0.000
Na 1.493 1.899 11.274
Na 2.720 1.899 14.507
Na 3.418 0.000 6.574
Na 4.619 0.000 9.827
Na 4.841 1.899 1.392
Na 6.048 1.899 4.733
Na 8.041 0.000 0.000
Na 9.755 1.899 11.461
Na 10.962 1.899 14.801
Na 11.184 0.000 6.366
Na 12.384 0.000 9.619
Na 13.083 1.899 1.686
Na 14.309 1.899 4.919
Cu 0.040 0.000 6.800
Cu 0.323 1.899 2.467
Cu 0.776 0.000 4.324
Cu 1.282 1.899 8.078
Cu 2.384 0.000 2.170
Cu 2.781 1.899 3.998
Cu 4.809 0.000 13.053
Cu 5.973 1.899 14.480
Cu 6.440 1.899 11.722
Cu 6.713 0.000 7.286
Cu 7.143 1.899 9.177
Cu 7.636 0.000 12.989
Cu 8.167 0.000 3.205
Cu 8.659 1.899 7.016
Cu 9.090 0.000 8.907
Cu 9.362 1.899 4.472
Cu 9.830 1.899 1.714
Cu 10.994 0.000 3.141
Cu 13.022 1.899 12.195
Cu 13.419 0.000 14.023
Cu 14.521 1.899 8.116
Cu 15.026 0.000 11.870
Cu 15.480 1.899 13.727
Cu 15.762 0.000 9.393
S 0.688 0.000 13.362
S 1.171 1.899 5.728
S 2.005 1.899 0.938
S 1.932 0.000 9.105
S 4.086 0.000 3.765
S 4.190 1.899 11.935
S 4.955 0.000 15.354
S 5.433 1.899 7.638
S 7.554 1.899 2.191
S 7.515 0.000 10.614
S 8.288 0.000 5.579
S 8.249 1.899 14.002
S 10.370 1.899 8.556
S 10.848 0.000 0.840
S 11.613 1.899 4.258
S 11.717 0.000 12.428
S 13.871 0.000 7.088
S 13.798 1.899 15.256
S 14.631 1.899 10.465
S 15.115 0.000 2.832
```

Principal peaks in the range 5° ≤ 2θ ≤ 70°, sorted by position:
index  2θ/deg  d_spacing  I/Imax
0 0 1  5.46  16.193  20.5
2 0 0  10.99  8.047  65.4
2 0 1  12.38  7.152  100.0
0 0 3  16.42  5.398  26.7
0 1 5  36.46  2.464  23.9
4 1 3  36.75  2.446  19.6
5 1 2  38.47  2.340  30.1
1 1 -6  41.35  2.184  21.9
1 1 7  46.39  1.957  18.0
0 2 0  47.91  1.899  32.7